The following is a computed powder X-ray diffraction pattern of K4MnMo3O12. It was derived from a cell relaxed with GGA+U, using CuKα.

Crystal structure
```
K4MnMo3O12
1.0
7.974 0.000 0.000
-2.845 9.720 0.000
-2.995 -1.408 9.779
K Mn Mo O
8 2 6 24
direct
0.000 0.000 0.000 K
0.150 0.569 0.887 K
0.249 0.524 0.478 K
0.273 0.236 0.774 K
0.500 0.000 0.000 K
0.727 0.764 0.226 K
0.751 0.476 0.522 K
0.850 0.431 0.113 K
0.337 0.121 0.447 Mn
0.663 0.879 0.553 Mn
0.119 0.846 0.615 Mo
0.262 0.807 0.252 Mo
0.376 0.356 0.182 Mo
0.624 0.644 0.818 Mo
0.738 0.193 0.748 Mo
0.881 0.154 0.385 Mo
0.055 0.686 0.262 O
0.108 0.156 0.492 O
0.111 0.670 0.633 O
0.176 0.943 0.780 O
0.190 0.426 0.125 O
0.247 0.983 0.266 O
0.281 0.781 0.086 O
0.294 0.924 0.539 O
0.344 0.213 0.057 O
0.386 0.305 0.352 O
0.412 0.511 0.797 O
0.461 0.775 0.370 O
0.539 0.225 0.630 O
0.588 0.489 0.203 O
0.614 0.695 0.648 O
0.656 0.787 0.943 O
0.706 0.076 0.461 O
0.719 0.219 0.914 O
0.753 0.017 0.734 O
0.810 0.574 0.875 O
0.824 0.057 0.220 O
0.889 0.330 0.367 O
0.892 0.844 0.508 O
0.945 0.314 0.738 O
```

The 10 most intense peaks (10 to 80 degrees two-theta), sorted by position:
| two_theta | intensity | hkl |
| --- | --- | --- |
| 17.39 | 40 | 1 0 1 |
| 23.35 | 53 | 2 -1 0 |
| 24.51 | 31 | 2 0 0 |
| 25.37 | 41 | -2 1 2 |
| 25.55 | 39 | -2 2 1 |
| 27.03 | 47 | 1 2 -2 |
| 27.61 | 69 | 0 1 -3 |
| 27.81 | 100 | 0 2 2 |
| 28.02 | 67 | 0 3 -1 |
| 28.84 | 69 | 2 0 1 |